Diffraction record for BaDyV4O12. The powder diffraction line list is calculated, not measured: it uses a DFT-relaxed cell (GGA+U, Alexandria) and CuKα.
Peak positions follow from Bragg's law for the DFT cell and can differ from measured ones.

Peak list (10 most intense, 15° ≤ 2θ ≤ 90°, in order of rising 2θ)
d_spacing	2θ (°)	Rel. int.	h k l
4.388	20.24	100	1 0 1
2.697	33.22	31	2 0 0
2.682	33.41	60	1 1 2
2.297	39.21	36	2 1 1
2.280	39.53	18	1 0 3
2.194	41.14	15	2 0 2
1.907	47.69	27	2 2 0
1.741	52.57	16	2 1 3
1.554	59.48	23	3 1 2
1.341	70.17	15	2 2 4

Cell and atoms:
abc: 5.3934 5.3934 7.5468
angles: 90.00 90.00 90.00
Sites, in units of the cell vectors:
Ba1 0.0000 0.0000 0.0000
Dy1 0.5000 0.5000 0.5000
V1 0.0000 0.5000 0.2535
V2 0.0000 0.5000 0.7465
V3 0.5000 0.0000 0.2535
V4 0.5000 0.0000 0.7465
O1 0.0000 0.5000 0.0000
O2 0.0000 0.5000 0.5000
O3 0.2573 0.2573 0.2637
O4 0.2573 0.2573 0.7363
O5 0.2573 0.7427 0.2637
O6 0.2573 0.7427 0.7363
O7 0.5000 0.0000 0.0000
O8 0.5000 0.0000 0.5000
O9 0.7427 0.2573 0.2637
O10 0.7427 0.2573 0.7363
O11 0.7427 0.7427 0.2637
O12 0.7427 0.7427 0.7363